Calculated powder X-ray diffraction pattern
Compound: TmCo3Pd4O12
Radiation: Cu Kα, 1.54184 Å
Structure: a DFT-relaxed cell (GGA+U, OQMD)
No peak broadening, texture or thermal motion is included.

Cell and atoms:
abc: 7.536 7.536 7.536
angles: 90.00 90.00 90.00
Space group Im-3 (No. 204)
Asymmetric unit:
Tm (0.000, 0.000, 0.000) (multiplicity 2)
Co (0.000, 0.000, 0.500) (multiplicity 6)
Pd (0.250, 0.250, 0.250) (multiplicity 8)
O (0.000, 0.165, 0.300) (multiplicity 24)

Largest 10 diffraction maxima, by intensity, 5° ≤ 2θ ≤ 70°:
Position (°2θ)  intensity  index
33.64  100  2 2 0
60.15  46  4 2 2
48.31  23  4 0 0
16.64  12  1 1 0
45.01  7  3 2 1
37.75  6  3 1 0
29.02  3  2 1 1
23.61  2  2 0 0
62.88  2  4 1 3
51.45  2  4 1 1